1.
The following is a calculated powder X-ray diffraction pattern of Ce2Ga5Au3. It was derived from a DFT-relaxed cell (GGA-PBE, Alexandria), using Cu Kα.
Peak positions follow from Bragg's law for the DFT cell and can differ from measured ones.

Structure:
Unit cell a=4.310 b=4.310 c=11.270 alpha=90.00 beta=90.00 gamma=90.00
Space group P-4m2 (No. 115)
Symmetry-distinct sites (fractional):
Ce 0.000 0.500 0.246 (multiplicity 2)
Ga 0.000 0.000 0.000 (multiplicity 1)
Ga 0.000 0.000 0.500 (multiplicity 1)
Ga 0.000 0.500 0.871 (multiplicity 2)
Ga 0.500 0.500 0.000 (multiplicity 1)
Au 0.000 0.500 0.652 (multiplicity 2)
Au 0.500 0.500 0.500 (multiplicity 1)

Largest 10 diffraction maxima, by intensity, 2θ = 5–70°:
index	2θ/deg	d [Å]	I (rel.)
1 1 2	33.43	2.681	100
2 0 0	41.92	2.155	59
0 0 1	7.84	11.270	52
1 0 3	31.59	2.832	42
1 0 5	45.41	1.997	39
2 1 5	63.51	1.465	29
1 1 4	43.76	2.069	25
2 2 0	60.79	1.524	20
1 0 2	26.03	3.423	20
2 1 3	53.43	1.715	19

2.
The following is a calculated powder X-ray diffraction pattern of Ce2Ga2Au3. It was derived from a DFT-relaxed cell (GGA-PBE, Alexandria), using Cu Kα.
Peak positions follow from Bragg's law for the DFT cell and can differ from measured ones.

Structure:
Unit cell a=4.273 b=20.031 c=7.290 alpha=90.00 beta=90.00 gamma=90.00
Space group Cmcm (No. 63)
Symmetry-distinct sites (fractional):
Ce 0.000 0.056 0.250 (multiplicity 4)
Ce 0.000 0.159 0.750 (multiplicity 4)
Ga 0.000 0.310 0.556 (multiplicity 8)
Au 0.000 0.223 0.250 (multiplicity 4)
Au 0.000 0.435 0.058 (multiplicity 8)

Largest 10 diffraction maxima, by intensity, 2θ = 5–70°:
index	2θ/deg	d [Å]	I (rel.)
1 1 2	32.60	2.747	100
1 5 1	33.02	2.713	93
2 0 0	42.30	2.136	42
1 7 2	45.55	1.991	36
0 4 3	41.30	2.186	30
1 3 3	45.01	2.014	28
0 8 0	35.86	2.504	27
2 4 3	60.60	1.528	19
0 2 2	26.01	3.425	19
0 6 1	29.43	3.035	16

3.
The following is a calculated powder X-ray diffraction pattern of Ce2Ga5Au3. It was derived from a DFT-relaxed cell (GGA-PBE, Alexandria), using Cu Kα.
Peak positions follow from Bragg's law for the DFT cell and can differ from measured ones.

Structure:
Unit cell a=10.661 b=12.343 c=6.217 alpha=90.00 beta=90.00 gamma=90.00
Space group Ibam (No. 72)
Symmetry-distinct sites (fractional):
Ce 0.236 0.128 0.000 (multiplicity 8)
Ga 0.000 0.000 0.250 (multiplicity 4)
Ga 0.000 0.269 0.250 (multiplicity 8)
Ga 0.147 0.384 0.000 (multiplicity 8)
Au 0.000 0.500 0.250 (multiplicity 4)
Au 0.120 0.134 0.500 (multiplicity 8)

Largest 10 diffraction maxima, by intensity, 2θ = 5–70°:
index	2θ/deg	d [Å]	I (rel.)
3 2 1	32.44	2.760	100
0 4 2	41.22	2.190	97
2 0 2	33.37	2.685	61
2 4 0	33.56	2.671	56
1 3 0	23.16	3.841	38
5 2 1	47.42	1.917	35
4 0 2	44.79	2.024	27
3 2 3	53.28	1.719	25
1 1 2	30.83	2.901	24
3 6 1	53.54	1.712	23

4.
The following is a calculated powder X-ray diffraction pattern of CeGa4Au3. It was derived from a DFT-relaxed cell (GGA-PBE, Alexandria), using Cu Kα.
Peak positions follow from Bragg's law for the DFT cell and can differ from measured ones.

Structure:
Unit cell a=4.330 b=4.330 c=8.798 alpha=90.00 beta=90.00 gamma=90.00
Space group P4/mmm (No. 123)
Symmetry-distinct sites (fractional):
Ce 0.000 0.000 0.000 (multiplicity 1)
Ga 0.000 0.500 0.324 (multiplicity 4)
Au 0.000 0.000 0.500 (multiplicity 1)
Au 0.500 0.500 0.154 (multiplicity 2)

Largest 10 diffraction maxima, by intensity, 2θ = 5–70°:
index	2θ/deg	d [Å]	I (rel.)
1 0 2	28.93	3.086	100
2 0 0	41.72	2.165	88
1 1 3	42.69	2.118	84
1 0 1	22.89	3.885	62
1 0 4	46.30	1.961	50
1 1 0	29.16	3.062	41
2 1 2	51.56	1.772	41
2 1 4	64.07	1.453	38
1 1 2	35.73	2.513	36
1 1 1	30.92	2.892	33

5.
The following is a calculated powder X-ray diffraction pattern of Ce3GaGe2Au6. It was derived from a DFT-relaxed cell (GGA-PBE, Alexandria), using Cu Kα.
Peak positions follow from Bragg's law for the DFT cell and can differ from measured ones.

Structure:
Unit cell a=6.2271 b=6.2271 c=8.3079 alpha=90.00 beta=90.00 gamma=120.00
Space group P-3m1 (No. 164)
Symmetry-distinct sites (fractional):
Ce 0.0000 0.0000 0.0000 (multiplicity 1)
Ce 0.3333 0.6667 0.6428 (multiplicity 2)
Ga 0.0000 0.0000 0.5000 (multiplicity 1)
Ge 0.3333 0.6667 0.0354 (multiplicity 2)
Au 0.1770 0.3540 0.2839 (multiplicity 6)

Largest 10 diffraction maxima, by intensity, 2θ = 5–70°:
index	2θ/deg	d [Å]	I (rel.)
0 2 1	34.99	2.565	100
2 0 2	39.86	2.262	52
1 1 2	36.05	2.491	27
0 2 3	47.04	1.932	27
0 0 2	21.39	4.154	26
2 2 0	59.37	1.557	25
0 0 3	32.33	2.769	20
0 1 1	19.63	4.523	16
2 0 0	33.23	2.696	15
2 2 3	69.23	1.357	13

6.
The following is a calculated powder X-ray diffraction pattern of Ce2Ga3HgAu4. It was derived from a DFT-relaxed cell (GGA-PBE, Alexandria), using Cu Kα.
Peak positions follow from Bragg's law for the DFT cell and can differ from measured ones.

Structure:
Unit cell a=4.384 b=4.384 c=11.287 alpha=90.00 beta=90.00 gamma=90.00
Space group P-4m2 (No. 115)
Symmetry-distinct sites (fractional):
Ce 0.000 0.500 0.240 (multiplicity 2)
Ga 0.000 0.500 0.874 (multiplicity 2)
Ga 0.500 0.500 0.500 (multiplicity 1)
Hg 0.000 0.000 0.500 (multiplicity 1)
Au 0.000 0.000 0.000 (multiplicity 1)
Au 0.000 0.500 0.653 (multiplicity 2)
Au 0.500 0.500 0.000 (multiplicity 1)

Largest 10 diffraction maxima, by intensity, 2θ = 5–70°:
index	2θ/deg	d [Å]	I (rel.)
1 1 2	32.97	2.717	100
2 0 0	41.18	2.192	52
1 1 4	43.36	2.087	29
1 0 3	31.33	2.855	23
3 1 2	69.87	1.346	23
1 0 5	45.18	2.007	21
2 2 0	59.65	1.550	17
2 1 5	62.77	1.480	16
1 0 2	25.73	3.462	13
2 1 3	52.64	1.739	11

7.
The following is a calculated powder X-ray diffraction pattern of NaCeGa2Au2. It was derived from a DFT-relaxed cell (GGA-PBE, Alexandria), using Cu Kα.
Peak positions follow from Bragg's law for the DFT cell and can differ from measured ones.

Structure:
Unit cell a=4.6008 b=4.6008 c=6.9411 alpha=90.00 beta=90.00 gamma=120.00
Space group P-3m1 (No. 164)
Symmetry-distinct sites (fractional):
Na 0.0000 0.0000 0.0000 (multiplicity 1)
Ce 0.0000 0.0000 0.5000 (multiplicity 1)
Ga 0.3333 0.6667 0.2312 (multiplicity 2)
Au 0.3333 0.6667 0.7563 (multiplicity 2)

Largest 10 diffraction maxima, by intensity, 2θ = 5–70°:
index	2θ/deg	d [Å]	I (rel.)
0 1 2	34.26	2.617	100
1 1 0	39.16	2.300	93
0 1 1	25.78	3.456	70
1 1 2	47.43	1.917	45
1 1 4	67.63	1.385	35
2 0 2	53.00	1.728	29
1 2 2	67.84	1.382	27
0 0 2	25.67	3.471	26
1 0 3	45.32	2.001	13
1 2 1	63.18	1.472	12

8.
The following is a calculated powder X-ray diffraction pattern of CeGa2Pd2Au. It was derived from a DFT-relaxed cell (GGA-PBE, Alexandria), using Cu Kα.
Peak positions follow from Bragg's law for the DFT cell and can differ from measured ones.

Structure:
Unit cell a=4.786 b=4.786 c=5.718 alpha=90.00 beta=90.00 gamma=90.00
Space group P4/mmm (No. 123)
Symmetry-distinct sites (fractional):
Ce 0.000 0.000 0.000 (multiplicity 1)
Ga 0.000 0.500 0.500 (multiplicity 2)
Pd 0.500 0.500 0.244 (multiplicity 2)
Au 0.000 0.000 0.500 (multiplicity 1)

Largest 10 diffraction maxima, by intensity, 2θ = 5–70°:
index	2θ/deg	d [Å]	I (rel.)
1 0 2	36.61	2.455	100
2 0 0	37.58	2.393	75
2 1 2	53.47	1.714	67
1 1 0	26.33	3.384	64
2 2 0	54.20	1.692	26
0 0 1	15.50	5.718	25
3 0 2	67.19	1.393	17
3 1 0	61.24	1.514	12
1 0 0	18.54	4.786	12
2 0 2	49.68	1.835	10

Repeat the fifth record exactly.
The following is a calculated powder X-ray diffraction pattern of Ce3GaGe2Au6. It was derived from a DFT-relaxed cell (GGA-PBE, Alexandria), using Cu Kα.
Peak positions follow from Bragg's law for the DFT cell and can differ from measured ones.

Structure:
Unit cell a=6.2271 b=6.2271 c=8.3079 alpha=90.00 beta=90.00 gamma=120.00
Space group P-3m1 (No. 164)
Symmetry-distinct sites (fractional):
Ce 0.0000 0.0000 0.0000 (multiplicity 1)
Ce 0.3333 0.6667 0.6428 (multiplicity 2)
Ga 0.0000 0.0000 0.5000 (multiplicity 1)
Ge 0.3333 0.6667 0.0354 (multiplicity 2)
Au 0.1770 0.3540 0.2839 (multiplicity 6)

Largest 10 diffraction maxima, by intensity, 2θ = 5–70°:
index	2θ/deg	d [Å]	I (rel.)
0 2 1	34.99	2.565	100
2 0 2	39.86	2.262	52
1 1 2	36.05	2.491	27
0 2 3	47.04	1.932	27
0 0 2	21.39	4.154	26
2 2 0	59.37	1.557	25
0 0 3	32.33	2.769	20
0 1 1	19.63	4.523	16
2 0 0	33.23	2.696	15
2 2 3	69.23	1.357	13